# 1
Structure and computed X-ray powder pattern of BaYMgFeCuO5 (DFT lattice parameters and positions (GGA+U); CuKα).

Atomic structure:
Cell: 6.767 5.960 8.291 Å, 90.00 94.66 90.00°
Space group Cm (No. 8)
Asymmetric unit:
Ba: 0.000 0.000 0.000 x2
Y: 0.257 0.000 0.573 x2
Mg: 0.203 0.500 0.660 x2
Fe: 0.079 0.500 0.322 x2
Cu: 0.453 0.000 0.918 x2
O: 0.045 0.279 0.490 x4
O: 0.132 0.500 0.104 x2
O: 0.303 0.237 0.785 x4

Principal peaks in the range 10° ≤ 2θ ≤ 90°, by intensity:
(2 0 -1), 2θ 27.75, d 3.215, I 1000
(1 1 1), 2θ 23.14, d 3.843, I 816
(0 2 0), 2θ 29.99, d 2.980, I 729
(2 2 -1), 2θ 41.31, d 2.186, I 639
(0 0 1), 2θ 10.71, d 8.263, I 535
(0 0 2), 2θ 21.51, d 4.132, I 518
(1 1 2), 2θ 30.25, d 2.955, I 443
(0 2 3), 2θ 44.81, d 2.023, I 411
(1 1 -2), 2θ 28.63, d 3.118, I 409
(2 2 1), 2θ 42.50, d 2.127, I 309
(2 2 2), 2θ 47.30, d 1.922, I 262
(2 0 -2), 2θ 32.89, d 2.723, I 259



# 2
Structure and computed X-ray powder pattern of Li4Ti3V2Cu3O16 (DFT lattice parameters and positions (GGA+U); CuKα).

Atomic structure:
Cell: 10.245 5.919 9.736 Å, 90.00 91.02 90.00°
Space group Cm (No. 8)
Asymmetric unit:
Li: 0.000 0.000 0.000 x2
Li: 0.004 0.000 0.510 x2
Li: 0.180 0.500 0.923 x2
Li: 0.342 0.000 0.422 x2
Ti: 0.103 0.250 0.239 x4
Ti: 0.189 0.000 0.753 x2
V: 0.169 0.500 0.515 x2
V: 0.369 0.000 0.002 x2
Cu: 0.336 0.500 0.225 x2
Cu: 0.424 0.245 0.719 x4
O: 0.002 0.000 0.319 x2
O: 0.007 0.000 0.806 x2
O: 0.024 0.500 0.350 x2
O: 0.096 0.262 0.603 x4
O: 0.167 0.000 0.121 x2
O: 0.169 0.500 0.125 x2
O: 0.236 0.267 0.364 x4
O: 0.261 0.217 0.867 x4
O: 0.324 0.500 0.586 x2
O: 0.336 0.000 0.628 x2
O: 0.423 0.235 0.104 x4
O: 0.491 0.000 0.883 x2

Principal peaks in the range 10° ≤ 2θ ≤ 90°, by intensity:
(0 0 2), 2θ 18.23, d 4.867, I 1000
(2 0 1), 2θ 19.68, d 4.511, I 926
(2 0 -1), 2θ 19.48, d 4.556, I 732
(0 4 0), 2θ 62.83, d 1.479, I 617
(2 2 -1), 2θ 36.15, d 2.485, I 416
(2 2 1), 2θ 36.33, d 2.473, I 382
(2 2 -3), 2θ 44.88, d 2.020, I 368
(1 1 -2), 2θ 25.12, d 3.545, I 321
(2 2 3), 2θ 45.29, d 2.002, I 316
(1 1 3), 2θ 32.80, d 2.730, I 267
(3 1 -2), 2θ 35.27, d 2.545, I 257
(2 2 -5), 2θ 59.37, d 1.557, I 252



# 3
Structure and computed X-ray powder pattern of Mg2VSbO6 (DFT lattice parameters and positions (GGA+U); CuKα).

Atomic structure:
Cell: 5.228 7.639 5.383 Å, 90.00 91.29 90.00°
Space group P2_1/m (No. 11)
Asymmetric unit:
Mg: 0.013 0.250 0.034 x2
Mg: 0.480 0.750 0.431 x2
V: 0.500 0.000 0.000 x2
Sb: 0.000 0.000 0.500 x2
O: 0.139 0.250 0.428 x2
O: 0.169 0.570 0.190 x4
O: 0.321 0.569 0.677 x4
O: 0.381 0.250 0.930 x2

Principal peaks in the range 10° ≤ 2θ ≤ 90°, by intensity:
(1 2 -1), 2θ 33.29, d 2.691, I 1000
(1 2 1), 2θ 33.69, d 2.660, I 621
(0 2 0), 2θ 23.29, d 3.820, I 388
(1 0 1), 2θ 24.00, d 3.708, I 387
(1 0 -1), 2θ 23.46, d 3.792, I 376
(0 4 2), 2θ 59.30, d 1.558, I 334
(2 4 0), 2θ 60.00, d 1.542, I 284
(2 0 0), 2θ 34.32, d 2.613, I 275
(0 0 1), 2θ 16.47, d 5.381, I 247
(1 0 0), 2θ 16.96, d 5.226, I 229
(3 2 -1), 2θ 60.56, d 1.529, I 190
(0 4 0), 2θ 47.61, d 1.910, I 190



# 4
Structure and computed X-ray powder pattern of MoO3 (DFT lattice parameters and positions (GGA+U); CuKα).

Atomic structure:
Cell: 3.930 3.764 7.492 Å, 90.00 103.43 90.00°
Space group P2_1/m (No. 11)
Asymmetric unit:
Mo: 0.157 0.250 0.204 x2
O: 0.064 0.750 0.131 x2
O: 0.223 0.250 0.437 x2
O: 0.401 0.750 0.823 x2

Principal peaks in the range 10° ≤ 2θ ≤ 90°, by intensity:
(0 1 1), 2θ 26.65, d 3.344, I 1000
(1 0 -1), 2θ 23.64, d 3.764, I 608
(0 0 2), 2θ 24.43, d 3.644, I 388
(1 1 0), 2θ 33.41, d 2.682, I 344
(0 0 1), 2θ 12.15, d 7.287, I 292
(0 2 0), 2θ 48.36, d 1.882, I 242
(0 0 3), 2θ 37.01, d 2.429, I 230
(1 0 0), 2θ 23.27, d 3.823, I 227
(1 1 3), 2θ 54.95, d 1.671, I 182
(1 2 -1), 2θ 54.51, d 1.683, I 160
(1 0 1), 2θ 28.78, d 3.102, I 155
(2 0 -1), 2θ 46.22, d 1.964, I 151



# 5
Structure and computed X-ray powder pattern of CaEuYVO6 (DFT lattice parameters and positions (GGA+U); CuKα).

Atomic structure:
Cell: 8.154 8.154 8.154 Å, 90.00 90.00 90.00°
Space group F-43m (No. 216)
Asymmetric unit:
Ca: 0.000 0.000 0.000 x4
Eu: 0.000 0.000 0.500 x4
Y: 0.250 0.250 0.250 x4
V: 0.250 0.250 0.750 x4
O: 0.018 0.250 0.750 x24

Principal peaks in the range 10° ≤ 2θ ≤ 90°, by intensity:
(2 2 0), 2θ 31.02, d 2.883, I 1000
(4 2 2), 2θ 55.19, d 1.664, I 379
(4 0 0), 2θ 44.44, d 2.038, I 355
(1 1 1), 2θ 18.85, d 4.708, I 297
(4 4 0), 2θ 64.67, d 1.441, I 206
(3 1 1), 2θ 36.55, d 2.458, I 197
(6 2 0), 2θ 73.45, d 1.289, I 169
(3 3 1), 2θ 48.68, d 1.871, I 98
(2 2 2), 2θ 38.24, d 2.354, I 92
(3 3 3), 2θ 58.85, d 1.569, I 67
(4 4 4), 2θ 81.84, d 1.177, I 66
(5 3 1), 2θ 68.02, d 1.378, I 64



# 6
Structure and computed X-ray powder pattern of W4NO12 (DFT lattice parameters and positions (GGA+U); CuKα).

Atomic structure:
Cell: 7.5291 7.5291 15.4034 Å, 90.00 90.00 120.00°
Space group P-31m (No. 162)
Asymmetric unit:
W: 0.0000 0.4808 0.1250 x6
W: 0.0000 0.4806 0.6250 x6
N: 0.0000 0.0000 0.0000 x1
N: 0.0000 0.0000 0.2502 x2
O: 0.0000 0.5000 0.0000 x3
O: 0.0000 0.5000 0.2500 x6
O: 0.0000 0.5000 0.5000 x3
O: 0.2098 0.4267 0.3751 x12
O: 0.2099 0.4268 0.8750 x12

Principal peaks in the range 10° ≤ 2θ ≤ 90°, by intensity:
(2 0 0), 2θ 27.36, d 3.260, I 1000
(1 0 0), 2θ 13.58, d 6.520, I 675
(2 0 4), 2θ 36.10, d 2.488, I 593
(0 0 4), 2θ 23.10, d 3.851, I 565
(2 0 8), 2θ 55.42, d 1.658, I 282
(1 0 4), 2θ 26.89, d 3.316, I 238
(2 2 0), 2θ 48.36, d 1.882, I 237
(2 2 4), 2θ 54.24, d 1.691, I 229
(1 1 0), 2θ 23.63, d 3.765, I 187
(4 0 4), 2θ 61.80, d 1.501, I 155
(2 2 8), 2θ 69.89, d 1.346, I 152
(4 0 0), 2θ 56.45, d 1.630, I 147